Entry 1:
Theoretical powder X-ray diffraction pattern
Compound: Y4GeRh3
Radiation: Cu Kα (weighted mean of Kα1 and Kα2)
Structure: a DFT-relaxed cell (GGA-PBE, Alexandria)

Principal peaks in the range 2θ from 10° to 90°, in order of rising 2θ:
d [Å], intensity, index
2.765, 100, 1 1 1
2.662, 25, 0 0 4
2.614, 23, 1 0 3
2.258, 31, 0 1 4
2.229, 74, 1 1 3
2.133, 31, 0 2 0
1.932, 22, 2 0 0
1.468, 16, 2 1 4
1.432, 16, 2 2 0
1.249, 15, 1 3 3

Structure:
```
data_Y4GeRh3
_chemical_formula_sum 'Y4 Ge1 Rh3'
_cell_length_a 3.8633
_cell_length_b 4.2661
_cell_length_c 10.6485
_cell_angle_alpha 90.00
_cell_angle_beta 90.00
_cell_angle_gamma 90.00
_space_group_name_H-M_alt 'P m m 2'
_space_group_IT_number 25
loop_
_space_group_symop_operation_xyz
'x,y,z'
'-x,-y,z'
'-x,y,z'
'x,-y,z'
loop_
_atom_site_label
_atom_site_fract_x
_atom_site_fract_y
_atom_site_fract_z
_atom_site_occupancy
Y1 0.0000 0.0000 0.0000 1
Y2 0.0000 0.5000 0.2751 1
Y3 0.5000 0.0000 0.4874 1
Y4 0.5000 0.5000 0.7793 1
Ge1 0.0000 0.0000 0.7088 1
Rh1 0.0000 0.5000 0.5620 1
Rh2 0.5000 0.0000 0.2191 1
Rh3 0.5000 0.5000 0.0484 1
```

Entry 2:
Theoretical powder X-ray diffraction pattern
Compound: Er6Ni2Pd
Radiation: Cu Kα (weighted mean of Kα1 and Kα2)
Structure: a DFT-relaxed cell (GGA-PBE, Alexandria)

Principal peaks in the range 2θ from 10° to 90°, in order of rising 2θ:
d [Å], intensity, index
3.345, 22, 2 0 2
3.028, 24, 0 1 3
2.971, 30, 0 3 1
2.952, 34, 3 1 0
2.723, 100, 2 2 2
2.540, 42, 2 1 3
2.523, 64, 1 3 2
2.508, 57, 2 3 1
2.332, 29, 4 0 0
1.520, 29, 5 3 2

Structure:
```
data_Er6Ni2Pd
_chemical_formula_sum 'Er24 Ni8 Pd4'
_cell_length_a 9.3280
_cell_length_b 9.3829
_cell_length_c 9.5964
_cell_angle_alpha 90.00
_cell_angle_beta 90.00
_cell_angle_gamma 90.00
_space_group_name_H-M_alt 'I m m m'
_space_group_IT_number 71
_space_group_name_Hall '-I 2 2'
loop_
_atom_site_label
_atom_site_fract_x
_atom_site_fract_y
_atom_site_fract_z
_atom_site_occupancy
Er1 0.0000 0.1886 0.2470 1
Er2 0.1908 0.5000 0.1732 1
Er3 0.2276 0.3220 0.5000 1
Ni1 0.0000 0.3421 0.0000 1
Ni2 0.0000 0.5000 0.3800 1
Pd1 0.0000 0.0000 0.0000 1
Pd2 0.0000 0.0000 0.5000 1
```

Entry 3:
Theoretical powder X-ray diffraction pattern
Compound: Rb6Er3I14
Radiation: Cu Kα (weighted mean of Kα1 and Kα2)
Structure: a DFT-relaxed cell (GGA-PBE, Alexandria)

Principal peaks in the range 2θ from 10° to 90°, in order of rising 2θ:
d [Å], intensity, index
6.640, 53, 1 1 0
6.387, 43, 0 1 1
3.783, 100, 1 2 1
3.642, 42, 0 1 2
3.430, 72, 0 3 1
3.322, 62, 2 2 0
3.192, 80, 0 2 2
2.510, 37, 1 4 0
2.213, 32, 3 3 0
2.205, 49, 3 -2 3

Structure:
```
data_Rb6Er3I14
_chemical_formula_sum 'Rb6 Er3 I14'
_cell_length_a 13.2804
_cell_length_b 13.2804
_cell_length_c 7.6797
_cell_angle_alpha 90.00
_cell_angle_beta 90.00
_cell_angle_gamma 120.00
_space_group_name_H-M_alt 'P 3'
_space_group_IT_number 143
loop_
_space_group_symop_operation_xyz
'x,y,z'
'-y,x-y,z'
'-x+y,-x,z'
loop_
_atom_site_label
_atom_site_fract_x
_atom_site_fract_y
_atom_site_fract_z
_atom_site_occupancy
Rb1 0.0254 0.4671 0.0000 1
Rb2 0.3013 0.1998 0.4904 1
Er1 0.0000 0.0000 0.0717 1
Er2 0.3333 0.6667 0.5825 1
Er3 0.6667 0.3333 0.7062 1
I1 0.0000 0.0000 0.6936 1
I2 0.0814 0.2311 0.2116 1
I3 0.1890 0.7537 0.7207 1
I4 0.3333 0.6667 0.2044 1
I5 0.4493 0.2522 0.9302 1
I6 0.5280 0.1147 0.4871 1
```

Entry 4:
Theoretical powder X-ray diffraction pattern
Compound: PuPa8
Radiation: Cu Kα (weighted mean of Kα1 and Kα2)
Structure: a DFT-relaxed cell (GGA-PBE, Alexandria)

Principal peaks in the range 2θ from 10° to 90°, in order of rising 2θ:
d [Å], intensity, index
2.677, 100, 3 0 1
2.329, 17, 0 0 2
2.313, 33, 3 3 0
1.641, 24, 3 3 2
1.635, 12, 6 0 0
1.403, 14, 3 0 3
1.396, 28, 6 3 1
1.338, 12, 6 0 2
1.165, 2, 0 0 4
1.156, 4, 6 6 0

Structure:
```
data_PuPa8
_chemical_formula_sum 'Pu2 Pa16'
_cell_length_a 9.8127
_cell_length_b 9.8127
_cell_length_c 4.6587
_cell_angle_alpha 90.00
_cell_angle_beta 90.00
_cell_angle_gamma 90.00
_space_group_name_H-M_alt 'I 4/m m m'
_space_group_IT_number 139
_space_group_name_Hall '-I 4 2'
loop_
_atom_site_label
_atom_site_fract_x
_atom_site_fract_y
_atom_site_fract_z
_atom_site_occupancy
Pu1 0.0000 0.0000 0.0000 1
Pa1 0.0000 0.3330 0.0000 1
Pa2 0.1663 0.1663 0.5000 1
```

Entry 5:
Theoretical powder X-ray diffraction pattern
Compound: LaTbSm3Tm
Radiation: Cu Kα (weighted mean of Kα1 and Kα2)
Structure: a DFT-relaxed cell (GGA-PBE, Alexandria)

Principal peaks in the range 2θ from 10° to 90°, in order of rising 2θ:
d [Å], intensity, index
3.438, 17, 0 0 2
3.019, 60, 5 1 -1
2.984, 63, 5 1 1
2.929, 17, 1 1 -2
2.882, 100, 0 2 0
2.726, 46, 3 1 -2
2.694, 51, 3 1 2
2.606, 46, 7 1 0
1.690, 18, 8 0 3
1.477, 18, 0 2 4

Structure:
```
data_LaTbSm3Tm
_chemical_formula_sum 'La4 Tb4 Sm12 Tm4'
_cell_length_a 20.4513
_cell_length_b 5.7663
_cell_length_c 6.8778
_cell_angle_alpha 90.00
_cell_angle_beta 91.07
_cell_angle_gamma 90.00
_space_group_name_H-M_alt 'C 1 2/m 1'
_space_group_IT_number 12
loop_
_space_group_symop_operation_xyz
'x,y,z'
'-x,-y,-z'
'-x,y,-z'
'x,-y,z'
'x+1/2,y+1/2,z'
'-x+1/2,-y+1/2,-z'
'-x+1/2,y+1/2,-z'
'x+1/2,-y+1/2,z'
loop_
_atom_site_label
_atom_site_fract_x
_atom_site_fract_y
_atom_site_fract_z
_atom_site_occupancy
La1 0.1454 0.0000 0.0279 1
Tb1 0.1436 0.0000 0.4716 1
Sm1 0.0201 0.0000 0.7455 1
Sm2 0.1590 0.5000 0.7409 1
Sm3 0.2200 0.5000 0.2583 1
Tm1 0.0573 0.5000 0.2700 1
```

Entry 6:
Theoretical powder X-ray diffraction pattern
Compound: Nb3Br7N
Radiation: Cu Kα (weighted mean of Kα1 and Kα2)
Structure: a DFT-relaxed cell (GGA-PBE, Alexandria)

Principal peaks in the range 2θ from 10° to 90°, in order of rising 2θ:
d [Å], intensity, index
7.006, 80, 0 0 1
4.657, 21, 1 0 1
3.054, 15, 0 1 2
2.848, 100, 0 2 1
2.328, 57, 0 2 2
2.233, 13, 2 1 1
1.869, 31, 2 0 3
1.800, 25, 2 2 0
1.521, 13, 4 0 1
1.162, 12, 4 2 1

Structure:
```
data_Nb3Br7N
_chemical_formula_sum 'Nb3 Br7 N1'
_cell_length_a 7.1980
_cell_length_b 7.1980
_cell_length_c 7.0055
_cell_angle_alpha 90.00
_cell_angle_beta 90.00
_cell_angle_gamma 120.00
_space_group_name_H-M_alt 'P 3 m 1'
_space_group_IT_number 156
loop_
_space_group_symop_operation_xyz
'x,y,z'
'-y,x-y,z'
'-x+y,-x,z'
'-y,-x,z'
'-x+y,y,z'
'x,x-y,z'
loop_
_atom_site_label
_atom_site_fract_x
_atom_site_fract_y
_atom_site_fract_z
_atom_site_occupancy
Nb1 0.0634 0.5317 0.0000 1
Br1 0.1650 0.3299 0.2469 1
Br2 0.3310 0.1655 0.7902 1
Br3 0.6667 0.3333 0.2039 1
N1 0.3333 0.6667 0.8391 1
```

Entry 7:
Theoretical powder X-ray diffraction pattern
Compound: LaPm7Pr4
Radiation: Cu Kα (weighted mean of Kα1 and Kα2)
Structure: a DFT-relaxed cell (GGA-PBE, Alexandria)

Principal peaks in the range 2θ from 10° to 90°, in order of rising 2θ:
d [Å], intensity, index
3.188, 36, 1 2 0
3.123, 15, 1 2 1
2.980, 50, 0 0 3
2.896, 100, 2 0 2
2.755, 85, 2 0 -1
2.319, 16, 1 2 3
1.855, 25, 3 2 1
1.736, 15, 2 0 5
1.645, 18, 2 0 -4
1.575, 37, 0 4 3

Structure:
```
data_LaPm7Pr4
_chemical_formula_sum 'La1 Pm7 Pr4'
_cell_length_a 6.4301
_cell_length_b 7.4054
_cell_length_c 9.1942
_cell_angle_alpha 89.93
_cell_angle_beta 76.48
_cell_angle_gamma 89.99
_space_group_name_H-M_alt 'P -1'
_space_group_IT_number 2
loop_
_space_group_symop_operation_xyz
'x,y,z'
'-x,-y,-z'
loop_
_atom_site_label
_atom_site_fract_x
_atom_site_fract_y
_atom_site_fract_z
_atom_site_occupancy
La1 0.0000 0.0000 0.0000 1
Pm1 0.0000 0.5000 0.0000 1
Pm2 0.2205 0.9998 0.3318 1
Pm3 0.2788 0.2496 0.6684 1
Pm4 0.4999 0.2496 0.9994 1
Pr1 0.2207 0.5000 0.3315 1
Pr2 0.2798 0.7511 0.6673 1
```

Entry 8:
Theoretical powder X-ray diffraction pattern
Compound: Mg3Mn2
Radiation: Cu Kα (weighted mean of Kα1 and Kα2)
Structure: a DFT-relaxed cell (GGA-PBE, Alexandria)

Principal peaks in the range 2θ from 10° to 90°, in order of rising 2θ:
d [Å], intensity, index
4.013, 33, 2 2 0
3.305, 13, 1 3 1
2.448, 37, 4 0 0
2.404, 100, 1 5 1
2.390, 19, 3 3 1
2.338, 83, 2 0 2
2.311, 12, 4 2 0
1.974, 44, 3 5 1
1.482, 18, 1 5 3
1.347, 15, 2 10 0

Structure:
```
data_Mg3Mn2
_chemical_formula_sum 'Mg24 Mn16'
_cell_length_a 9.7919
_cell_length_b 14.0116
_cell_length_c 5.3223
_cell_angle_alpha 90.00
_cell_angle_beta 90.00
_cell_angle_gamma 90.00
_space_group_name_H-M_alt 'F d d 2'
_space_group_IT_number 43
_space_group_name_Hall 'F 2 -2d'
loop_
_atom_site_label
_atom_site_fract_x
_atom_site_fract_y
_atom_site_fract_z
_atom_site_occupancy
Mg1 0.0000 0.0000 0.0000 1
Mg2 0.0379 0.3973 0.0058 1
Mn1 0.0192 0.2962 0.5400 1
```